Calculated X-ray powder pattern
Compound: LiMn3O5F
Radiation: Cu Kα (λ = 1.5418 Å)
Structure: a structure optimized by DFT (GGA+U)
Neutral-atom scattering factors, no anomalous dispersion.

Top 6 peaks for 10 to 90 degrees two-theta, sorted by position:
(0 0 1), 2θ 19.18, d 4.626, I 95.1
(0 1 0), 2θ 22.78, d 3.903, I 92.8
(1 0 -1), 2θ 24.38, d 3.651, I 85.8
(1 -1 1), 2θ 24.50, d 3.633, I 94.5
(1 0 1), 2θ 32.09, d 2.789, I 93.5
(1 1 -1), 2θ 34.21, d 2.621, I 100.0

Cell and atoms:
abc: 4.963 5.107 5.389
angles: 117.12 90.07 117.12
Element x y z (fractional)
Li1 0.000 0.000 0.000
Mn1 0.242 0.427 0.620
Mn2 0.567 0.070 0.560
Mn3 0.776 0.487 0.167
O1 0.175 0.977 0.375
O2 0.489 0.600 0.387
O3 0.609 0.520 0.849
O4 0.868 0.286 0.361
O5 0.951 0.266 0.841
F1 0.326 0.905 0.858